[1]
Calculated powder diffractogram of BeWSe2 for Cu Kα, 1.54184 Å, from a cell relaxed with GGA-PBE.
Lines closer than 0.1° are merged.

Largest 10 diffraction maxima, low angle first, 10 to 90 degrees two-theta:
d (Å)	2theta	I (rel.)	index
7.632	11.60	100	0 0 1
3.364	26.50	15	0 1 0
3.240	27.53	13	1 0 0
3.078	29.01	38	0 1 1
3.004	29.74	23	1 0 -1
2.961	30.18	23	1 0 1
2.523	35.58	16	0 1 2
2.029	44.66	18	0 1 3
2.004	45.25	27	1 1 -2
1.979	45.86	29	1 1 2

Cell and atoms:
```
data_BeWSe2
_chemical_formula_sum 'Be1 W1 Se2'
_space_group_name_H-M_alt 'P 1 m 1'
_space_group_IT_number 6
_space_group_name_Hall 'P -2y'
_cell_length_a 3.2408
_cell_length_b 3.3640
_cell_length_c 7.6334
_cell_angle_alpha 90.00
_cell_angle_beta 91.15
_cell_angle_gamma 90.00
loop_
_atom_site_label
_atom_site_fract_x
_atom_site_fract_y
_atom_site_fract_z
_atom_site_occupancy
Be1 0.0000 0.0000 0.0000 1
W1 0.4953 0.5000 0.8943 1
Se1 0.0082 0.5000 0.1720 1
Se2 0.4918 0.0000 0.6505 1
```

***

[2]
Calculated powder diffractogram of Y6BeSe5 for Cu Kα, 1.54184 Å, from a cell relaxed with GGA-PBE.
Lines closer than 0.1° are merged.

Largest 10 diffraction maxima, low angle first, 10 to 90 degrees two-theta:
d (Å)	2theta	I (rel.)	index
2.890	30.94	100	2 0 -2
2.046	44.26	35	2 0 2
2.041	44.39	35	1 3 -3
1.673	54.87	6	4 0 0
1.668	55.05	12	2 6 -2
1.665	55.17	6	0 0 4
1.445	64.48	11	4 0 -4
1.292	73.28	14	3 3 -5
1.180	81.57	7	4 6 -4
1.178	81.74	7	1 3 5

Cell and atoms:
```
data_Y6BeSe5
_chemical_formula_sum 'Y12 Be2 Se10'
_space_group_name_H-M_alt 'C 1 2/m 1'
_space_group_IT_number 12
_space_group_name_Hall '-C 2y'
_cell_length_a 7.0997
_cell_length_b 12.2540
_cell_length_c 7.0645
_cell_angle_alpha 90.00
_cell_angle_beta 109.50
_cell_angle_gamma 90.00
loop_
_atom_site_label
_atom_site_fract_x
_atom_site_fract_y
_atom_site_fract_z
_atom_site_occupancy
Y1 0.2329 0.0000 0.2606 1
Y2 0.2350 0.1568 0.7362 1
Be1 0.0000 0.0000 0.5000 1
Se1 0.0000 0.1741 0.0000 1
Se2 0.0000 0.3348 0.5000 1
Se3 0.0000 0.5000 0.0000 1
```

***

[3]
Calculated powder diffractogram of YBe3Se for Cu Kα, 1.54184 Å, from a cell relaxed with GGA-PBE.
Lines closer than 0.1° are merged.

Largest 9 diffraction maxima, low angle first, 10 to 90 degrees two-theta:
d (Å)	2theta	I (rel.)	index
3.131	28.51	100	1 1 0
2.556	35.10	1	1 1 1
2.214	40.76	25	2 0 0
1.808	50.49	40	2 1 1
1.566	59.00	16	2 2 0
1.400	66.81	17	3 1 0
1.278	74.19	5	2 2 2
1.183	81.30	19	3 2 1
1.107	88.28	3	4 0 0

Cell and atoms:
```
data_YBe3Se
_chemical_formula_sum 'Y1 Be3 Se1'
_space_group_name_H-M_alt 'P m -3 m'
_space_group_IT_number 221
_space_group_name_Hall '-P 4 2 3'
_cell_length_a 4.4279
_cell_length_b 4.4279
_cell_length_c 4.4279
_cell_angle_alpha 90.00
_cell_angle_beta 90.00
_cell_angle_gamma 90.00
loop_
_atom_site_label
_atom_site_fract_x
_atom_site_fract_y
_atom_site_fract_z
_atom_site_occupancy
Y1 0.0000 0.0000 0.0000 1
Be1 0.0000 0.5000 0.5000 1
Se1 0.5000 0.5000 0.5000 1
```

***

[4]
Calculated powder diffractogram of BeZnSe2 for Cu Kα, 1.54184 Å, from a cell relaxed with GGA-PBE.
Lines closer than 0.1° are merged.

Largest 10 diffraction maxima, low angle first, 10 to 90 degrees two-theta:
d (Å)	2theta	I (rel.)	index
3.333	26.75	87	1 2 0
3.317	26.88	41	2 0 0
3.166	28.19	81	0 0 2
2.949	30.30	91	1 2 1
2.938	30.42	43	2 0 1
2.294	39.28	48	1 2 2
1.927	47.15	33	0 4 0
1.918	47.39	65	3 2 0
1.782	51.26	100	2 0 3
1.641	56.06	41	3 2 2

Cell and atoms:
```
data_BeZnSe2
_chemical_formula_sum 'Be4 Zn4 Se8'
_space_group_name_H-M_alt 'P n a 21'
_space_group_IT_number 33
_space_group_name_Hall 'P 2c -2n'
_cell_length_a 6.6349
_cell_length_b 7.7094
_cell_length_c 6.3314
_cell_angle_alpha 90.00
_cell_angle_beta 90.00
_cell_angle_gamma 90.00
loop_
_atom_site_label
_atom_site_fract_x
_atom_site_fract_y
_atom_site_fract_z
_atom_site_occupancy
Be1 0.0773 0.1257 0.0000 1
Zn1 0.0877 0.6238 0.9990 1
Se1 0.0669 0.1094 0.6436 1
Se2 0.0989 0.6406 0.6082 1
```

***

[5]
Calculated powder diffractogram of Be2ZnSe for Cu Kα, 1.54184 Å, from a cell relaxed with GGA-PBE.
Lines closer than 0.1° are merged.

Largest 10 diffraction maxima, low angle first, 10 to 90 degrees two-theta:
d (Å)	2theta	I (rel.)	index
3.006	29.72	33	0 0 2
2.847	31.42	100	1 0 1
2.286	39.42	35	1 1 0
1.820	50.13	30	1 1 2
1.703	53.82	26	1 0 3
1.616	56.97	12	2 0 0
1.424	65.57	13	2 0 2
1.406	66.51	22	2 1 1
1.256	75.73	7	1 1 4
1.173	82.21	15	2 1 3

Cell and atoms:
```
data_Be2ZnSe
_chemical_formula_sum 'Be2 Zn1 Se1'
_space_group_name_H-M_alt 'P 4 m m'
_space_group_IT_number 99
_space_group_name_Hall 'P 4 -2'
_cell_length_a 3.2330
_cell_length_b 3.2330
_cell_length_c 6.0128
_cell_angle_alpha 90.00
_cell_angle_beta 90.00
_cell_angle_gamma 90.00
loop_
_atom_site_label
_atom_site_fract_x
_atom_site_fract_y
_atom_site_fract_z
_atom_site_occupancy
Be1 0.0000 0.0000 0.0000 1
Be2 0.5000 0.5000 0.2663 1
Zn1 0.5000 0.5000 0.8656 1
Se1 0.0000 0.0000 0.3682 1
```

***

[6]
Calculated powder diffractogram of Zr2BeSe for Cu Kα, 1.54184 Å, from a cell relaxed with GGA-PBE.
Lines closer than 0.1° are merged.

Largest 10 diffraction maxima, low angle first, 10 to 90 degrees two-theta:
d (Å)	2theta	I (rel.)	index
6.305	14.05	26	0 0 1
3.355	26.57	35	0 1 0
2.962	30.17	20	0 1 1
2.455	36.60	56	1 0 -2
2.373	37.92	100	1 1 0
2.297	39.21	91	0 1 2
2.167	41.68	36	1 0 2
1.678	54.71	33	0 2 0
1.418	65.89	19	2 1 -2
1.385	67.64	18	1 2 -2

Cell and atoms:
```
data_Zr2BeSe
_chemical_formula_sum 'Zr2 Be1 Se1'
_space_group_name_H-M_alt 'P 1 2/m 1'
_space_group_IT_number 10
_space_group_name_Hall '-P 2y'
_cell_length_a 3.3816
_cell_length_b 3.3553
_cell_length_c 6.3544
_cell_angle_alpha 90.00
_cell_angle_beta 97.15
_cell_angle_gamma 90.00
loop_
_atom_site_label
_atom_site_fract_x
_atom_site_fract_y
_atom_site_fract_z
_atom_site_occupancy
Zr1 0.0271 0.0000 0.2627 1
Be1 0.5000 0.5000 0.5000 1
Se1 0.5000 0.5000 0.0000 1
```

***

[7]
Calculated powder diffractogram of Be2Si3 for Cu Kα, 1.54184 Å, from a cell relaxed with GGA-PBE.
Lines closer than 0.1° are merged.

Largest 10 diffraction maxima, low angle first, 10 to 90 degrees two-theta:
d (Å)	2theta	I (rel.)	index
2.754	32.51	100	0 1 1
2.129	42.46	64	1 0 2
1.806	50.54	44	1 1 0
1.647	55.82	15	0 1 3
1.510	61.39	15	2 0 1
1.377	68.08	15	0 2 2
1.321	71.41	12	1 1 3
1.318	71.61	10	0 1 4
1.159	83.43	13	1 2 1
1.095	89.49	16	2 1 2

Cell and atoms:
```
data_Be2Si3
_chemical_formula_sum 'Be2 Si3'
_space_group_name_H-M_alt 'P -3 m 1'
_space_group_IT_number 164
_space_group_name_Hall '-P 3 2"'
_cell_length_a 3.6120
_cell_length_b 3.6120
_cell_length_c 5.8114
_cell_angle_alpha 90.00
_cell_angle_beta 90.00
_cell_angle_gamma 120.00
loop_
_atom_site_label
_atom_site_fract_x
_atom_site_fract_y
_atom_site_fract_z
_atom_site_occupancy
Be1 0.3333 0.6667 0.2881 1
Si1 0.0000 0.0000 0.5000 1
Si2 0.3333 0.6667 0.8782 1
```

***

[8]
Calculated powder diffractogram of Be2Si for Cu Kα, 1.54184 Å, from a cell relaxed with GGA-PBE.
Lines closer than 0.1° are merged.

Largest 10 diffraction maxima, low angle first, 10 to 90 degrees two-theta:
d (Å)	2theta	I (rel.)	index
2.964	30.15	100	1 0 1
2.593	34.59	51	1 1 0
2.519	35.65	23	0 0 2
1.833	49.73	34	2 0 0
1.807	50.52	65	1 1 2
1.559	59.26	27	2 1 1
1.527	60.66	13	1 0 3
1.482	62.68	17	2 0 2
1.296	72.98	11	2 2 0
1.173	82.16	11	2 1 3

Cell and atoms:
```
data_Be2Si
_chemical_formula_sum 'Be4 Si2'
_space_group_name_H-M_alt 'I -4 m 2'
_space_group_IT_number 119
_space_group_name_Hall 'I -4 -2'
_cell_length_a 3.6668
_cell_length_b 3.6668
_cell_length_c 5.0370
_cell_angle_alpha 90.00
_cell_angle_beta 90.00
_cell_angle_gamma 90.00
loop_
_atom_site_label
_atom_site_fract_x
_atom_site_fract_y
_atom_site_fract_z
_atom_site_occupancy
Be1 0.0000 0.0000 0.0000 1
Be2 0.0000 0.5000 0.2500 1
Si1 0.0000 0.0000 0.5000 1
```

***

[9]
Calculated powder diffractogram of Be3Si5 for Cu Kα, 1.54184 Å, from a cell relaxed with GGA-PBE.
Lines closer than 0.1° are merged.

Largest 10 diffraction maxima, low angle first, 10 to 90 degrees two-theta:
d (Å)	2theta	I (rel.)	index
3.196	27.92	23	1 -1 1
3.103	28.77	100	0 1 -2
3.084	28.95	32	0 2 0
2.566	34.96	25	2 1 1
2.337	38.52	24	2 2 1
2.221	40.62	13	2 2 0
1.993	45.51	18	1 3 -1
1.989	45.60	13	1 3 2
1.795	50.87	21	0 0 4
1.785	51.18	26	0 3 -2

Cell and atoms:
```
data_Be3Si5
_chemical_formula_sum 'Be6 Si10'
_space_group_name_H-M_alt 'P 1'
_space_group_IT_number 1
_space_group_name_Hall 'P 1'
_cell_length_a 5.1376
_cell_length_b 6.5896
_cell_length_c 7.6156
_cell_angle_alpha 83.31
_cell_angle_beta 70.53
_cell_angle_gamma 69.48
loop_
_atom_site_label
_atom_site_fract_x
_atom_site_fract_y
_atom_site_fract_z
_atom_site_occupancy
Be1 0.0000 0.0000 0.0000 1
Be2 0.0694 0.7150 0.8299 1
Be3 0.2348 0.2553 0.5075 1
Be4 0.5669 0.2519 0.0002 1
Be5 0.7376 0.2535 0.4932 1
Be6 0.8992 0.7163 0.1726 1
Si1 0.1361 0.1513 0.2382 1
Si2 0.3392 0.5720 0.5452 1
Si3 0.3699 0.1486 0.7651 1
Si4 0.4008 0.6133 0.0013 1
Si5 0.4017 0.7764 0.2611 1
Si6 0.6297 0.0681 0.2706 1
Si7 0.6603 0.7740 0.7412 1
Si8 0.8829 0.5702 0.4565 1
Si9 0.8964 0.0655 0.7301 1
Si10 0.9873 0.3897 0.0009 1
```

***

[10]
Calculated powder diffractogram of BeSi for Cu Kα, 1.54184 Å, from a cell relaxed with GGA-PBE.
Lines closer than 0.1° are merged.

Largest 10 diffraction maxima, low angle first, 10 to 90 degrees two-theta:
d (Å)	2theta	I (rel.)	index
3.418	26.07	40	0 2 0
2.578	34.79	100	1 1 1
2.567	34.95	22	0 2 1
1.763	51.85	30	1 3 1
1.722	53.18	24	2 2 0
1.709	53.62	12	0 4 0
1.693	54.17	17	1 1 2
1.690	54.28	12	0 2 2
1.237	77.10	10	3 1 1
1.227	77.83	9	1 5 1

Cell and atoms:
```
data_BeSi
_chemical_formula_sum 'Be4 Si4'
_space_group_name_H-M_alt 'C m m e'
_space_group_IT_number 67
_space_group_name_Hall '-C 2a 2'
_cell_length_a 3.9876
_cell_length_b 6.8365
_cell_length_c 3.8888
_cell_angle_alpha 90.00
_cell_angle_beta 90.00
_cell_angle_gamma 90.00
loop_
_atom_site_label
_atom_site_fract_x
_atom_site_fract_y
_atom_site_fract_z
_atom_site_occupancy
Be1 0.2500 0.0000 0.0000 1
Si1 0.0000 0.2500 0.3156 1
```

***

[11]
Calculated powder diffractogram of BeSi for Cu Kα, 1.54184 Å, from a cell relaxed with GGA-PBE.
Lines closer than 0.1° are merged.

Largest 10 diffraction maxima, low angle first, 10 to 90 degrees two-theta:
d (Å)	2theta	I (rel.)	index
3.548	25.10	53	0 0 2
2.536	35.40	100	1 0 1
1.920	47.35	34	1 1 0
1.784	51.22	52	1 0 3
1.774	51.51	10	0 0 4
1.689	54.33	23	1 1 2
1.358	69.20	11	2 0 0
1.303	72.55	14	1 1 4
1.268	74.89	9	2 0 2
1.197	80.19	18	2 1 1

Cell and atoms:
```
data_BeSi
_chemical_formula_sum 'Be2 Si2'
_space_group_name_H-M_alt 'I 4 m m'
_space_group_IT_number 107
_space_group_name_Hall 'I 4 -2'
_cell_length_a 2.7153
_cell_length_b 2.7153
_cell_length_c 7.0965
_cell_angle_alpha 90.00
_cell_angle_beta 90.00
_cell_angle_gamma 90.00
loop_
_atom_site_label
_atom_site_fract_x
_atom_site_fract_y
_atom_site_fract_z
_atom_site_occupancy
Be1 0.0000 0.0000 0.0000 1
Si1 0.0000 0.0000 0.6904 1
```

***

[12]
Calculated powder diffractogram of Be2Si for Cu Kα, 1.54184 Å, from a cell relaxed with GGA-PBE.
Lines closer than 0.1° are merged.

Largest 10 diffraction maxima, low angle first, 10 to 90 degrees two-theta:
d (Å)	2theta	I (rel.)	index
3.584	24.84	100	0 1 0
2.926	30.55	49	1 1 1
2.916	30.66	48	1 0 -1
2.731	32.79	32	0 0 2
2.666	33.61	47	1 0 1
2.626	34.14	45	1 1 -1
1.820	50.13	32	0 0 3
1.800	50.71	57	2 1 0
1.767	51.73	31	1 -1 1
1.746	52.41	30	1 2 -1

Cell and atoms:
```
data_Be2Si
_chemical_formula_sum 'Be4 Si2'
_space_group_name_H-M_alt 'P -1'
_space_group_IT_number 2
_space_group_name_Hall '-P 1'
_cell_length_a 3.6036
_cell_length_b 4.1041
_cell_length_c 5.6429
_cell_angle_alpha 76.66
_cell_angle_beta 89.43
_cell_angle_gamma 64.45
loop_
_atom_site_label
_atom_site_fract_x
_atom_site_fract_y
_atom_site_fract_z
_atom_site_occupancy
Be1 0.0481 0.4046 0.3350 1
Be2 0.1592 0.1890 0.0276 1
Si1 0.2722 0.9602 0.7018 1
```

***

[13]
Calculated powder diffractogram of BeSi2 for Cu Kα, 1.54184 Å, from a cell relaxed with GGA-PBE.
Lines closer than 0.1° are merged.

Largest 10 diffraction maxima, low angle first, 10 to 90 degrees two-theta:
d (Å)	2theta	I (rel.)	index
3.783	23.51	29	1 0 0
2.782	32.17	84	0 3 1
2.754	32.51	100	1 1 1
2.728	32.83	22	0 4 0
2.242	40.23	32	1 3 1
1.892	48.10	30	2 0 0
1.819	50.16	17	0 6 0
1.774	51.52	52	1 2 2
1.732	52.86	49	1 5 1
1.564	59.05	27	2 3 1

Cell and atoms:
```
data_BeSi2
_chemical_formula_sum 'Be4 Si8'
_space_group_name_H-M_alt 'A m m 2'
_space_group_IT_number 38
_space_group_name_Hall 'A 2 -2'
_cell_length_a 3.7833
_cell_length_b 10.9126
_cell_length_c 4.3198
_cell_angle_alpha 90.00
_cell_angle_beta 90.00
_cell_angle_gamma 90.00
loop_
_atom_site_label
_atom_site_fract_x
_atom_site_fract_y
_atom_site_fract_z
_atom_site_occupancy
Be1 0.0000 0.2052 0.0000 1
Si1 0.0000 0.0000 0.8785 1
Si2 0.5000 0.0000 0.5576 1
Si3 0.5000 0.1863 0.2875 1
```

***

[14]
Calculated powder diffractogram of Be3Si2 for Cu Kα, 1.54184 Å, from a cell relaxed with GGA-PBE.
Lines closer than 0.1° are merged.

Largest 10 diffraction maxima, low angle first, 10 to 90 degrees two-theta:
d (Å)	2theta	I (rel.)	index
5.098	17.40	27	0 0 1
3.146	28.37	48	1 0 0
2.677	33.47	100	0 1 1
1.980	45.82	93	1 0 2
1.816	50.24	60	1 1 0
1.711	53.57	10	1 1 1
1.503	61.72	16	2 0 1
1.339	70.33	26	0 2 2
1.241	76.82	16	1 1 3
1.158	83.49	14	1 2 1

Cell and atoms:
```
data_Be3Si2
_chemical_formula_sum 'Be3 Si2'
_space_group_name_H-M_alt 'P -3 m 1'
_space_group_IT_number 164
_space_group_name_Hall '-P 3 2"'
_cell_length_a 3.6323
_cell_length_b 3.6323
_cell_length_c 5.0980
_cell_angle_alpha 90.00
_cell_angle_beta 90.00
_cell_angle_gamma 120.00
loop_
_atom_site_label
_atom_site_fract_x
_atom_site_fract_y
_atom_site_fract_z
_atom_site_occupancy
Be1 0.0000 0.0000 0.0000 1
Be2 0.3333 0.6667 0.9302 1
Si1 0.3333 0.6667 0.3725 1
```

***

[15]
Calculated powder diffractogram of SmBe3Si3 for Cu Kα, 1.54184 Å, from a cell relaxed with GGA-PBE.
Lines closer than 0.1° are merged.

Largest 10 diffraction maxima, low angle first, 10 to 90 degrees two-theta:
d (Å)	2theta	I (rel.)	index
4.345	20.44	75	1 1 0
3.072	29.06	44	2 0 0
2.509	35.79	100	2 1 1
2.173	41.57	13	2 2 0
1.943	46.75	19	3 1 0
1.642	55.99	54	3 2 1
1.374	68.26	15	4 2 0
1.310	72.09	13	3 3 2
1.205	79.54	12	5 1 0
1.122	86.81	16	5 2 1

Cell and atoms:
```
data_SmBe3Si3
_chemical_formula_sum 'Sm2 Be6 Si6'
_space_group_name_H-M_alt 'P m -3 n'
_space_group_IT_number 223
_space_group_name_Hall '-P 4n 2 3'
_cell_length_a 6.1450
_cell_length_b 6.1450
_cell_length_c 6.1450
_cell_angle_alpha 90.00
_cell_angle_beta 90.00
_cell_angle_gamma 90.00
loop_
_atom_site_label
_atom_site_fract_x
_atom_site_fract_y
_atom_site_fract_z
_atom_site_occupancy
Sm1 0.0000 0.0000 0.0000 1
Be1 0.0000 0.2500 0.5000 1
Si1 0.0000 0.5000 0.2500 1
```